Diffraction record for Ca2Cu. The powder XRD pattern is theoretical, not measured: it uses the PBE geometry in the Materials Project and Cu Kα, 1.54184 Å.
Kinematic intensities with the Lorentz-polarization factor, no thermal factor.

Cell and atoms:
```
Ca2Cu
1.0
6.0325 0.0000 0.0000
0.0000 4.1492 0.0000
0.0000 0.0000 14.5022
Ca Cu
8 4
Direct
0.1311 0.2500 0.1657
0.1322 0.7500 0.4080
0.3678 0.2500 0.9080
0.3689 0.7500 0.6657
0.6311 0.2500 0.3343
0.6322 0.7500 0.0920
0.8678 0.2500 0.5920
0.8689 0.7500 0.8343
0.1110 0.7500 0.0165
0.3890 0.2500 0.5165
0.6110 0.7500 0.4835
0.8890 0.2500 0.9835
```

Most intense lines, 10 to 90 degrees two-theta, by angle:
12.2°, I 100, hkl 0 0 2; 15.9°, I 50, hkl 1 0 1; 28.3°, I 27, hkl 0 1 3; 28.9°, I 22, hkl 1 1 2; 30.3°, I 26, hkl 2 0 1; 32.1°, I 62, hkl 1 1 3; 34.3°, I 32, hkl 1 0 5; 38.9°, I 63, hkl 2 1 2; 43.6°, I 24, hkl 0 2 0; 54.1°, I 25, hkl 3 1 3